1.
# RbMgV2FeAg2O8
Computed X-ray powder pattern, Cu Kα. Input: a PBE+U-relaxed structure.
Neutral-atom scattering factors, no anomalous dispersion.

Structure:
```
data_RbMgV2FeAg2O8
_chemical_formula_sum 'Rb1 Mg1 V2 Fe1 Ag2 O8'
_space_group_name_H-M_alt 'P 1'
_space_group_IT_number 1
_cell_length_a 5.711
_cell_length_b 5.728
_cell_length_c 7.888
_cell_angle_alpha 94.41
_cell_angle_beta 93.66
_cell_angle_gamma 119.13
loop_
_space_group_symop_operation_xyz
'x,y,z'
loop_
_atom_site_label
_atom_site_type_symbol
_atom_site_fract_x
_atom_site_fract_y
_atom_site_fract_z
Rb1 Rb 0.000 0.000 0.000
Mg1 Mg 0.389 0.441 0.803
V1 V 0.403 0.723 0.215
V2 V 0.822 0.470 0.674
Fe1 Fe 0.100 0.094 0.446
Ag1 Ag 0.515 0.870 0.599
Ag2 Ag 0.732 0.388 0.199
O1 O 0.085 0.389 0.641
O2 O 0.158 0.798 0.284
O3 O 0.348 0.420 0.283
O4 O 0.377 0.683 0.992
O5 O 0.450 0.217 0.604
O6 O 0.732 0.458 0.897
O7 O 0.733 0.996 0.294
O8 O 0.854 0.780 0.620
```

Top 10 peaks for 2θ = 10–90°, low angle first:
| 2theta | I (rel.) | h k l |
| --- | --- | --- |
| 22.77 | 25 | 0 0 2 |
| 27.38 | 19 | 1 0 -2 |
| 29.06 | 33 | 1 -1 2 |
| 30.80 | 51 | 0 1 2 |
| 31.17 | 21 | 1 1 0 |
| 31.36 | 100 | 2 -1 0 |
| 31.69 | 38 | 1 1 -1 |
| 43.56 | 18 | -2 2 2 |
| 45.62 | 18 | 2 0 2 |
| 55.47 | 19 | 3 0 -1 |

2.
# Li9Mn2Co5O16
Computed X-ray powder pattern, Cu Kα. Input: a PBE+U-relaxed structure.
Neutral-atom scattering factors, no anomalous dispersion.

Structure:
```
data_Li9Mn2Co5O16
_chemical_formula_sum 'Li9 Mn2 Co5 O16'
_space_group_name_H-M_alt 'P 1'
_space_group_IT_number 1
_cell_length_a 2.982
_cell_length_b 5.962
_cell_length_c 16.150
_cell_angle_alpha 90.91
_cell_angle_beta 90.90
_cell_angle_gamma 93.95
loop_
_space_group_symop_operation_xyz
'x,y,z'
loop_
_atom_site_label
_atom_site_type_symbol
_atom_site_fract_x
_atom_site_fract_y
_atom_site_fract_z
Li1 Li 0.000 0.000 0.000
Li2 Li 0.000 0.000 0.500
Li3 Li 0.000 0.500 0.000
Li4 Li 0.001 0.502 0.247
Li5 Li 0.498 0.743 0.877
Li6 Li 0.499 0.252 0.625
Li7 Li 0.501 0.748 0.375
Li8 Li 0.502 0.257 0.123
Li9 Li 0.999 0.498 0.753
Mn1 Mn 0.492 0.253 0.374
Mn2 Mn 0.508 0.747 0.626
Co1 Co 0.000 0.500 0.500
Co2 Co 0.002 0.999 0.248
Co3 Co 0.496 0.260 0.881
Co4 Co 0.504 0.740 0.119
Co5 Co 0.998 0.001 0.752
O1 O 0.023 0.014 0.869
O2 O 0.027 0.519 0.125
O3 O 0.028 0.005 0.369
O4 O 0.036 0.506 0.620
O5 O 0.472 0.236 0.761
O6 O 0.474 0.280 0.496
O7 O 0.475 0.235 0.253
O8 O 0.498 0.754 0.012
O9 O 0.502 0.246 0.988
O10 O 0.525 0.765 0.747
O11 O 0.526 0.720 0.504
O12 O 0.528 0.764 0.239
O13 O 0.964 0.494 0.380
O14 O 0.972 0.995 0.631
O15 O 0.973 0.481 0.875
O16 O 0.977 0.986 0.131
```

Top 10 peaks for 2θ = 10–90°, low angle first:
| 2theta | I (rel.) | h k l |
| --- | --- | --- |
| 18.38 | 100 | 0 1 -2 |
| 34.52 | 19 | -1 1 2 |
| 36.68 | 12 | 1 1 2 |
| 36.90 | 11 | 0 1 6 |
| 37.25 | 8 | 0 2 -4 |
| 41.43 | 33 | 1 -2 0 |
| 44.55 | 26 | 1 2 0 |
| 44.91 | 24 | 0 0 8 |
| 62.46 | 16 | 2 0 0 |
| 62.74 | 15 | 1 -2 8 |

3.
# AlW3O8
Computed X-ray powder pattern, Cu Kα. Input: a PBE+U-relaxed structure.
Neutral-atom scattering factors, no anomalous dispersion.

Structure:
```
data_AlW3O8
_chemical_formula_sum 'Al1 W3 O8'
_space_group_name_H-M_alt 'P 1'
_space_group_IT_number 1
_cell_length_a 5.170
_cell_length_b 5.611
_cell_length_c 5.876
_cell_angle_alpha 70.30
_cell_angle_beta 87.68
_cell_angle_gamma 75.91
loop_
_space_group_symop_operation_xyz
'x,y,z'
loop_
_atom_site_label
_atom_site_type_symbol
_atom_site_fract_x
_atom_site_fract_y
_atom_site_fract_z
Al1 Al 0.000 0.000 0.000
W1 W 0.391 0.404 0.693
W2 W 0.658 0.888 0.538
W3 W 0.930 0.399 0.354
O1 O 0.011 0.599 0.579
O2 O 0.277 0.144 0.944
O3 O 0.339 0.202 0.461
O4 O 0.488 0.658 0.808
O5 O 0.545 0.628 0.387
O6 O 0.790 0.151 0.713
O7 O 0.851 0.108 0.244
O8 O 0.994 0.676 0.075
```

Top 10 peaks for 2θ = 10–90°, low angle first:
| 2theta | I (rel.) | h k l |
| --- | --- | --- |
| 16.04 | 100 | 0 0 1 |
| 24.52 | 83 | 1 0 1 |
| 28.59 | 59 | -1 1 1 |
| 29.93 | 56 | 1 1 -1 |
| 31.16 | 28 | 0 1 2 |
| 33.84 | 32 | 1 2 1 |
| 35.86 | 28 | 2 1 0 |
| 39.95 | 31 | 1 2 2 |
| 43.50 | 25 | 1 1 -2 |
| 43.95 | 27 | 2 -1 0 |

4.
# Li9Mn2Co5O16
Computed X-ray powder pattern, Cu Kα. Input: a PBE+U-relaxed structure.
Neutral-atom scattering factors, no anomalous dispersion.

Structure:
```
data_Li9Mn2Co5O16
_chemical_formula_sum 'Li9 Mn2 Co5 O16'
_space_group_name_H-M_alt 'P 1'
_space_group_IT_number 1
_cell_length_a 5.013
_cell_length_b 7.799
_cell_length_c 7.917
_cell_angle_alpha 99.32
_cell_angle_beta 100.10
_cell_angle_gamma 102.47
loop_
_space_group_symop_operation_xyz
'x,y,z'
loop_
_atom_site_label
_atom_site_type_symbol
_atom_site_fract_x
_atom_site_fract_y
_atom_site_fract_z
Li1 Li 0.000 0.000 0.000
Li2 Li 0.001 0.242 0.756
Li3 Li 0.012 0.877 0.637
Li4 Li 0.014 0.754 0.266
Li5 Li 0.019 0.509 0.512
Li6 Li 0.502 0.121 0.877
Li7 Li 0.505 0.878 0.133
Li8 Li 0.511 0.376 0.635
Li9 Li 0.518 0.630 0.387
Mn1 Mn 0.007 0.627 0.881
Mn2 Mn 0.510 0.252 0.262
Co1 Co 0.005 0.377 0.130
Co2 Co 0.012 0.123 0.385
Co3 Co 0.501 0.502 0.001
Co4 Co 0.510 0.758 0.752
Co5 Co 0.517 0.997 0.519
O1 O 0.234 0.620 0.109
O2 O 0.248 0.511 0.765
O3 O 0.251 0.019 0.259
O4 O 0.256 0.271 0.006
O5 O 0.256 0.853 0.882
O6 O 0.261 0.370 0.373
O7 O 0.282 0.114 0.614
O8 O 0.291 0.766 0.516
O9 O 0.736 0.891 0.391
O10 O 0.743 0.995 0.755
O11 O 0.757 0.489 0.253
O12 O 0.757 0.733 0.004
O13 O 0.760 0.139 0.145
O14 O 0.768 0.230 0.508
O15 O 0.768 0.630 0.663
O16 O 0.770 0.392 0.890
```

Top 10 peaks for 2θ = 10–90°, low angle first:
| 2theta | I (rel.) | h k l |
| --- | --- | --- |
| 18.30 | 100 | 0 1 1 |
| 34.88 | 17 | 1 -2 2 |
| 35.89 | 13 | 1 2 -2 |
| 36.57 | 12 | -2 1 1 |
| 37.13 | 8 | 0 2 2 |
| 42.05 | 31 | 1 -1 3 |
| 43.57 | 28 | 1 3 -1 |
| 44.48 | 26 | -2 2 2 |
| 62.01 | 8 | 0 4 -4 |
| 62.28 | 8 | 2 2 2 |